Starting from a DFT-relaxed cell (PBE, the Materials Project), the XRD peak list of Na4NbZnSi2PO12 was computed for CuKα.
No peak broadening, texture or thermal motion is included.

Main lines, sorted by position (5° ≤ 2θ ≤ 70°):
2θ/deg	d/Å	Rel. int.
13.71	6.458	21.0
19.29	4.601	18.8
19.48	4.557	100.0
22.87	3.889	14.7
27.57	3.235	19.9
30.99	2.885	36.0
31.08	2.877	76.9
33.83	2.650	44.0
34.05	2.633	26.6
46.71	1.944	27.9

Atomic structure:
```
42
Lattice="7.856 -4.601 0.000 7.856 4.601 0.000 -5.228 0.000 7.446" Properties=species:S:1:pos:R:3 pbc="T T T"
Na 5.242 4.174 3.723
Na 6.244 2.352 0.768
Na 1.872 0.752 5.460
Na 4.486 -0.752 1.737
Na 8.800 1.107 2.528
Na 3.630 -2.352 4.491
Na 6.186 -1.107 6.251
Na 7.856 -4.174 0.000
Nb 3.006 2.306 1.953
Nb 0.392 -2.306 5.676
Zn 4.040 2.388 7.186
Zn 6.654 -2.388 3.463
Si -1.826 0.425 6.442
Si 0.788 -0.425 2.718
Si 12.021 0.951 1.196
Si 9.407 -0.951 4.920
P 5.266 0.981 4.268
P 7.880 -0.981 0.545
O -0.528 0.458 2.901
O 2.186 2.996 6.250
O 3.830 1.297 0.372
O -3.143 -0.458 6.624
O 2.115 0.637 2.506
O 4.763 1.745 2.967
O 8.362 3.152 1.507
O -0.499 -0.637 6.229
O 4.365 1.213 5.465
O 1.216 -1.297 4.095
O 6.699 1.647 4.517
O 7.959 0.506 0.240
O 10.557 1.539 0.980
O 5.344 -0.506 3.963
O 2.149 -1.745 6.691
O 6.979 -1.213 1.742
O 7.714 1.252 7.236
O 9.391 0.735 5.005
O 4.800 -2.996 2.527
O 9.313 -1.647 0.794
O 7.942 -1.539 4.704
O 12.005 -0.735 1.282
O 5.748 -3.152 5.230
O 10.328 -1.252 3.513
```

=====

Starting from a DFT-relaxed cell (PBE, the Materials Project), the XRD peak list of Na3NbZnSiP2O12 was computed for CuKα.
No peak broadening, texture or thermal motion is included.

Main lines, sorted by position (5° ≤ 2θ ≤ 70°):
2θ/deg	d/Å	Rel. int.
19.52	4.548	56.4
19.64	4.521	100.0
20.03	4.434	23.0
23.12	3.846	22.8
28.18	3.166	35.1
31.03	2.882	45.9
31.51	2.839	45.4
31.85	2.810	37.3
34.09	2.630	28.5
34.28	2.616	59.1

Atomic structure:
```
40
Lattice="7.832 -4.524 0.000 7.832 4.524 0.000 -4.958 0.000 7.352" Properties=species:S:1:pos:R:3 pbc="T T T"
Na 5.353 3.913 3.676
Na 1.636 0.944 5.132
Na 4.155 2.060 7.017
Na 4.115 -0.944 1.456
Na 6.634 -2.060 3.341
Na 7.832 -3.913 0.000
Nb 7.265 2.213 5.790
Nb 9.744 -2.213 2.114
Zn 6.166 2.180 0.589
Zn 3.687 -2.180 4.265
Si 4.915 0.970 3.542
Si 2.436 -0.970 7.218
P -1.668 0.893 6.465
P 0.812 -0.893 2.789
P 11.963 0.380 1.255
P 9.484 -0.380 4.931
O 2.429 1.303 0.407
O 1.976 3.222 6.107
O 0.756 0.702 2.846
O -0.246 1.386 6.628
O 3.322 1.581 3.270
O 8.021 3.218 1.465
O -1.723 -0.702 6.522
O 5.756 1.545 2.337
O -0.050 -1.303 4.083
O 5.504 1.733 4.923
O 2.415 0.635 7.309
O 2.233 -1.386 2.951
O 0.843 -1.581 6.946
O 4.894 -0.635 3.633
O 11.407 1.251 0.068
O 3.277 -1.545 6.013
O 8.284 0.618 5.286
O 4.455 -3.222 2.431
O 7.983 -1.733 1.247
O 10.763 -0.618 1.610
O 10.704 0.421 4.541
O 8.928 -1.251 3.744
O 13.183 -0.421 0.865
O 5.542 -3.218 5.141
```